Structure and simulated powder diffraction line list of NaMoP2O7 (a DFT-relaxed cell (PBE+U, the Materials Project); Cu Kα (λ = 1.5418 Å)).
Lines closer than 0.1° are merged.

Atomic structure:
```
data_NaMoP2O7
_chemical_formula_sum 'Na4 Mo4 P8 O28'
_symmetry_space_group_name_H-M 'P 1 21/c 1'
_symmetry_Int_Tables_number 14
_symmetry_space_group_name_Hall '-P 2ybc'
_cell_length_a 7.5628
_cell_length_b 8.3216
_cell_length_c 9.9359
_cell_angle_alpha 90.00
_cell_angle_beta 111.79
_cell_angle_gamma 90.00
loop_
_atom_site_label
_atom_site_fract_x
_atom_site_fract_y
_atom_site_fract_z
Na1 0.2152 0.0194 0.2139
Mo1 0.2434 0.0049 0.7503
P1 0.1719 0.7170 0.9538
P2 0.4268 0.2463 0.0420
O1 0.0408 0.5918 0.8541
O2 0.1272 0.6093 0.3977
O3 0.1918 0.7088 0.1125
O4 0.3169 0.2193 0.8800
O5 0.3275 0.1301 0.6001
O6 0.3726 0.6666 0.9391
O7 0.4738 0.0903 0.1318
```

Principal peaks in the range 10 to 90 degrees two-theta, low angle first:
h k l, d (Å), intensity
1 1 -1, 5.345, 92
1 1 1, 4.155, 41
2 0 0, 3.511, 30
2 1 0, 3.235, 25
2 1 -2, 3.216, 18
0 2 2, 3.090, 100
1 1 -3, 3.070, 21
2 2 -2, 2.672, 23
2 0 2, 2.398, 25
2 0 -4, 2.375, 20
0 4 0, 2.079, 21
2 2 4, 1.545, 18